No. 1
Starting from a structure optimized by DFT (GGA+U), the powder diffractogram of Li2FeO2F was simulated for Cu Kα, 1.54184 Å.
No peak broadening, texture or thermal motion is included.

The 6 most intense peaks (2θ from 5° to 70°), most intense first:
(2 0 2), 42.95°, d 2.106, I 100
(0 0 2), 18.25°, d 4.861, I 80
(0 0 1), 9.10°, d 9.721, I 69
(2 0 0), 35.33°, d 2.540, I 34
(2 0 -6), 62.41°, d 1.488, I 27
(1 3 5), 62.31°, d 1.490, I 26

Structural model:
a = 5.1526 Å, b = 8.9499 Å, c = 9.8695 Å
α = 90.00°, β = 99.94°, γ = 90.00°
Space group C2 (No. 5)
Unique sites:
Li: 0.0000 0.0000 0.0000 [2 per cell]
Li: 0.0000 0.3485 0.0000 [2 per cell]
Li: 0.2364 0.8444 0.2505 [4 per cell]
Li: 0.2403 0.9945 0.7570 [4 per cell]
Li: 0.2432 0.6819 0.7535 [4 per cell]
Fe: 0.0000 0.1726 0.5000 [2 per cell]
Fe: 0.0000 0.5065 0.5000 [2 per cell]
Fe: 0.0000 0.7026 0.0000 [2 per cell]
Fe: 0.0000 0.8394 0.5000 [2 per cell]
O: 0.1228 0.8352 0.8803 [4 per cell]
O: 0.1269 0.3398 0.3834 [4 per cell]
O: 0.1287 0.0062 0.3836 [4 per cell]
O: 0.1294 0.6729 0.3851 [4 per cell]
F: 0.1166 0.5150 0.8813 [4 per cell]
F: 0.1311 0.1713 0.8783 [4 per cell]

No. 2
Starting from a structure optimized by DFT (GGA+U), the powder diffractogram of LiFe3O2F6 was simulated for Cu Kα, 1.54184 Å.
No peak broadening, texture or thermal motion is included.

The 6 most intense peaks (2θ from 5° to 70°), most intense first:
(1 1 1), 26.76°, d 3.331, I 100
(2 2 -2), 52.87°, d 1.732, I 32
(1 1 -3), 34.92°, d 2.570, I 23
(2 2 2), 55.15°, d 1.666, I 21
(1 3 -3), 67.03°, d 1.396, I 19
(1 0 0), 15.89°, d 5.578, I 18

Structural model:
a = 5.6052 Å, b = 4.7018 Å, c = 10.3847 Å
α = 90.00°, β = 95.61°, γ = 90.00°
Space group P2_1/c (No. 14)
Unique sites:
Li: 0.0000 0.0000 0.0000 [2 per cell]
Fe: 0.2703 0.0084 0.7532 [4 per cell]
Fe: 0.5000 0.0000 0.5000 [2 per cell]
O: 0.4828 0.1944 0.3312 [4 per cell]
F: 0.0184 0.7068 0.6833 [4 per cell]
F: 0.2274 0.1981 0.5756 [4 per cell]
F: 0.2714 0.6987 0.4220 [4 per cell]

No. 3
Starting from a structure optimized by DFT (GGA+U), the powder diffractogram of Li2FeO2F was simulated for Cu Kα, 1.54184 Å.
No peak broadening, texture or thermal motion is included.

The 6 most intense peaks (2θ from 5° to 70°), most intense first:
(0 0 2), 18.29°, d 4.851, I 100
(1 3 -3), 42.56°, d 2.124, I 85
(1 1 -1), 20.72°, d 4.287, I 45
(2 0 2), 43.28°, d 2.091, I 42
(2 0 -6), 62.24°, d 1.492, I 34
(1 1 1), 23.43°, d 3.797, I 30

Structural model:
a = 5.1434 Å, b = 9.0738 Å, c = 9.8698 Å
α = 90.00°, β = 100.56°, γ = 90.00°
Space group C2/c (No. 15)
Unique sites:
Li: 0.0000 0.2342 0.2500 [4 per cell]
Li: 0.2222 0.0965 0.5020 [8 per cell]
Li: 0.2500 0.2500 0.0000 [4 per cell]
Fe: 0.0000 0.0804 0.7500 [4 per cell]
Fe: 0.0000 0.3953 0.7500 [4 per cell]
O: 0.1117 0.2460 0.6317 [8 per cell]
O: 0.1433 0.0698 0.1379 [8 per cell]
F: 0.1254 0.4188 0.1250 [8 per cell]

No. 4
Starting from a structure optimized by DFT (GGA+U), the powder diffractogram of LiFe2O2F3 was simulated for Cu Kα, 1.54184 Å.
No peak broadening, texture or thermal motion is included.

The 6 most intense peaks (2θ from 5° to 70°), most intense first:
(0 0 1), 8.66°, d 10.214, I 100
(1 1 0), 24.77°, d 3.594, I 60
(1 1 -1), 26.24°, d 3.397, I 46
(2 0 0), 17.66°, d 5.023, I 41
(0 2 0), 47.23°, d 1.924, I 27
(2 0 -3), 31.53°, d 2.837, I 25

Structural model:
a = 10.0470 Å, b = 3.8486 Å, c = 10.2152 Å
α = 90.00°, β = 90.82°, γ = 90.00°
Space group C2/m (No. 12)
Unique sites:
Li: 0.1312 0.0000 0.0574 [4 per cell]
Fe: 0.1375 0.0000 0.4524 [4 per cell]
Fe: 0.1849 0.0000 0.7493 [4 per cell]
O: 0.0435 0.0000 0.6198 [4 per cell]
O: 0.1959 0.5000 0.4185 [4 per cell]
F: 0.0514 0.0000 0.8827 [4 per cell]
F: 0.1906 0.5000 0.0960 [4 per cell]
F: 0.2412 0.5000 0.7457 [4 per cell]

No. 5
Starting from a structure optimized by DFT (GGA+U), the powder diffractogram of LiFe5O5F was simulated for Cu Kα, 1.54184 Å.
No peak broadening, texture or thermal motion is included.

The 6 most intense peaks (2θ from 5° to 70°), most intense first:
(1 1 0), 29.53°, d 3.025, I 100
(0 0 1), 6.74°, d 13.123, I 92
(1 1 -3), 36.10°, d 2.488, I 72
(0 0 6), 41.28°, d 2.187, I 64
(3 1 0), 52.63°, d 1.739, I 62
(2 0 0), 29.72°, d 3.006, I 47

Structural model:
a = 6.0123 Å, b = 3.4996 Å, c = 13.1235 Å
α = 90.00°, β = 90.02°, γ = 90.00°
Space group Cm (No. 8)
Unique sites:
Li: 0.0000 0.0000 0.0000 [2 per cell]
Fe: 0.1654 0.5000 0.5011 [2 per cell]
Fe: 0.1646 0.5000 0.8237 [2 per cell]
Fe: 0.1672 0.5000 0.1787 [2 per cell]
Fe: 0.4936 0.5000 0.6743 [2 per cell]
Fe: 0.4951 0.5000 0.3277 [2 per cell]
O: 0.9996 0.0000 0.5023 [2 per cell]
O: 0.0002 0.0000 0.8420 [2 per cell]
O: 0.0027 0.0000 0.1612 [2 per cell]
O: 0.1588 0.5000 0.6640 [2 per cell]
O: 0.1604 0.5000 0.3393 [2 per cell]
F: 0.1663 0.5000 0.0020 [2 per cell]

No. 6
Starting from a structure optimized by DFT (GGA+U), the powder diffractogram of Li4FeO3F was simulated for Cu Kα, 1.54184 Å.
No peak broadening, texture or thermal motion is included.

The 6 most intense peaks (2θ from 5° to 70°), most intense first:
(1 1 1), 21.51°, d 4.131, I 100
(1 1 2), 32.47°, d 2.757, I 75
(0 2 1), 28.15°, d 3.170, I 72
(2 2 0), 33.17°, d 2.701, I 54
(1 1 0), 16.41°, d 5.401, I 49
(2 0 0), 22.11°, d 4.020, I 48

Structural model:
a = 8.0404 Å, b = 7.2921 Å, c = 6.4134 Å
α = 90.00°, β = 90.00°, γ = 90.00°
Space group Cmc2_1 (No. 36)
Unique sites:
Li: 0.1525 0.2325 0.0000 [8 per cell]
Li: 0.1645 0.4934 0.2398 [8 per cell]
Fe: 0.0000 0.1464 0.4608 [4 per cell]
O: 0.0000 0.2989 0.2272 [4 per cell]
O: 0.2069 0.0314 0.4876 [8 per cell]
F: 0.0000 0.2945 0.7432 [4 per cell]

No. 7
Starting from a structure optimized by DFT (GGA+U), the powder diffractogram of Li4FeO3F was simulated for Cu Kα, 1.54184 Å.
No peak broadening, texture or thermal motion is included.

The 6 most intense peaks (2θ from 5° to 70°), most intense first:
(1 0 1), 21.58°, d 4.119, I 100
(0 1 0), 18.99°, d 4.674, I 70
(0 1 2), 25.30°, d 3.520, I 49
(1 1 -1), 27.38°, d 3.257, I 48
(1 0 -1), 21.83°, d 4.072, I 42
(1 -1 0), 30.53°, d 2.928, I 27

Structural model:
a = 5.1721 Å, b = 5.2196 Å, c = 8.0724 Å
α = 71.26°, β = 82.90°, γ = 69.88°
Space group P-1 (No. 2)
Unique sites:
Li: 0.2152 0.3294 0.2702 [2 per cell]
Li: 0.2324 0.7621 0.5055 [2 per cell]
Li: 0.2437 0.5400 0.9460 [2 per cell]
Li: 0.2452 0.9987 0.0788 [2 per cell]
Fe: 0.2181 0.0971 0.7398 [2 per cell]
O: 0.0097 0.0688 0.3169 [2 per cell]
O: 0.0172 0.3185 0.8793 [2 per cell]
O: 0.4923 0.8079 0.8860 [2 per cell]
F: 0.3427 0.3324 0.5088 [2 per cell]

No. 8
Starting from a structure optimized by DFT (GGA+U), the powder diffractogram of Li2Fe2OF4 was simulated for Cu Kα, 1.54184 Å.
No peak broadening, texture or thermal motion is included.

The 6 most intense peaks (2θ from 5° to 70°), most intense first:
(0 2 2), 22.75°, d 3.909, I 100
(1 3 1), 40.98°, d 2.202, I 86
(0 0 2), 13.99°, d 6.331, I 69
(1 3 2), 42.88°, d 2.109, I 57
(1 1 4), 42.26°, d 2.138, I 42
(0 2 5), 39.96°, d 2.256, I 37

Structural model:
a = 3.0312 Å, b = 9.9383 Å, c = 12.6611 Å
α = 90.00°, β = 90.00°, γ = 90.00°
Space group Cmc2_1 (No. 36)
Unique sites:
Li: 0.0000 0.0048 0.0000 [4 per cell]
Li: 0.0000 0.2713 0.8908 [4 per cell]
Fe: 0.0000 0.2586 0.6195 [4 per cell]
Fe: 0.0000 0.4603 0.2673 [4 per cell]
O: 0.0000 0.1675 0.7553 [4 per cell]
F: 0.0000 0.0803 0.3580 [4 per cell]
F: 0.0000 0.0873 0.1476 [4 per cell]
F: 0.0000 0.3522 0.4699 [4 per cell]
F: 0.0000 0.3656 0.0394 [4 per cell]

No. 9
Starting from a structure optimized by DFT (GGA+U), the powder diffractogram of Li8FeO4F2 was simulated for Cu Kα, 1.54184 Å.
No peak broadening, texture or thermal motion is included.

The 6 most intense peaks (2θ from 5° to 70°), most intense first:
(-1 1 1), 31.89°, d 2.806, I 100
(0 1 1), 18.96°, d 4.681, I 93
(2 1 3), 36.92°, d 2.435, I 70
(1 0 2), 21.93°, d 4.053, I 56
(0 1 -1), 20.55°, d 4.321, I 46
(0 0 2), 15.14°, d 5.853, I 43

Structural model:
a = 5.3593 Å, b = 5.3659 Å, c = 12.0776 Å
α = 79.01°, β = 77.26°, γ = 65.78°
Space group P-1 (No. 2)
Unique sites:
Li: 0.0145 0.1011 0.1730 [2 per cell]
Li: 0.0146 0.6013 0.6736 [2 per cell]
Li: 0.1044 0.2763 0.5502 [2 per cell]
Li: 0.1040 0.7757 0.0500 [2 per cell]
Li: 0.3050 0.2338 0.8074 [2 per cell]
Li: 0.3050 0.7337 0.3070 [2 per cell]
Li: 0.4462 0.4048 0.1431 [2 per cell]
Li: 0.4461 0.9049 0.6435 [2 per cell]
Fe: 0.5000 0.0000 0.0000 [1 per cell]
Fe: 0.5000 0.5000 0.5000 [1 per cell]
O: 0.2584 0.9192 0.9027 [2 per cell]
O: 0.2587 0.4194 0.4027 [2 per cell]
O: 0.3694 0.7842 0.1383 [2 per cell]
O: 0.3698 0.2850 0.6387 [2 per cell]
F: 0.0541 0.4475 0.1562 [2 per cell]
F: 0.0555 0.9471 0.6576 [2 per cell]

No. 10
Starting from a structure optimized by DFT (GGA+U), the powder diffractogram of Li7FeO5F was simulated for Cu Kα, 1.54184 Å.
No peak broadening, texture or thermal motion is included.

The 6 most intense peaks (2θ from 5° to 70°), most intense first:
(1 1 0), 34.97°, d 2.566, I 100
(0 1 0), 18.57°, d 4.777, I 94
(1 -1 0), 19.99°, d 4.441, I 89
(1 0 -1), 19.55°, d 4.541, I 85
(0 1 -1), 22.35°, d 3.977, I 68
(1 0 0), 21.30°, d 4.172, I 63

Structural model:
a = 5.4518 Å, b = 5.5313 Å, c = 5.6684 Å
α = 90.55°, β = 117.64°, γ = 116.23°
Space group P1 (No. 1)
Unique sites:
Li: 0.0000 0.0000 0.0000 [1 per cell]
Li: 0.0356 0.2409 0.6499 [1 per cell]
Li: 0.1391 0.4299 0.2910 [1 per cell]
Li: 0.2566 0.6938 0.9777 [1 per cell]
Li: 0.4292 0.8858 0.6408 [1 per cell]
Li: 0.5701 0.2574 0.0129 [1 per cell]
Li: 0.7094 0.5219 0.6828 [1 per cell]
Fe: 0.7826 0.7244 0.3004 [1 per cell]
O: 0.0163 0.5734 0.5650 [1 per cell]
O: 0.3353 0.3897 0.0827 [1 per cell]
O: 0.6988 0.9834 0.0952 [1 per cell]
O: 0.7210 0.8502 0.5693 [1 per cell]
O: 0.9393 0.6451 0.0880 [1 per cell]
F: 0.3484 0.1919 0.6065 [1 per cell]

> What is the formula in the second record?

LiFe3O2F6